Calculated powder diffraction line list
Compound: BaMnO4
Radiation: λ = 1.5418 Å (Cu Kα)
Structure: the GGA+U geometry in the Materials Project

Structure:
Unit cell a=9.1805 b=5.6884 c=7.4939 alpha=90.00 beta=90.00 gamma=90.00
Fractional coordinates of all 24 atoms:
Ba: 0.1858 0.2500 0.1583
Ba: 0.3142 0.7500 0.6583
Ba: 0.6858 0.2500 0.3417
Ba: 0.8142 0.7500 0.8417
Mn: 0.0620 0.2500 0.6914
Mn: 0.4380 0.7500 0.1914
Mn: 0.5620 0.2500 0.8086
Mn: 0.9380 0.7500 0.3086
O: 0.0819 0.0121 0.8202
O: 0.0819 0.4879 0.8202
O: 0.1007 0.7500 0.4005
O: 0.1911 0.2500 0.5370
O: 0.3089 0.7500 0.0370
O: 0.3993 0.2500 0.9005
O: 0.4181 0.5121 0.3202
O: 0.4181 0.9879 0.3202
O: 0.5819 0.0121 0.6798
O: 0.5819 0.4879 0.6798
O: 0.6007 0.7500 0.0995
O: 0.6911 0.2500 0.9630
O: 0.8089 0.7500 0.4630
O: 0.8993 0.2500 0.5995
O: 0.9181 0.5121 0.1798
O: 0.9181 0.9879 0.1798

Most intense lines, 2θ from 10° to 80°, by angle:
2θ (°)	I/Imax	(hkl)
21.88	35	1 1 1
23.75	26	0 0 2
24.93	86	2 1 0
25.68	54	1 0 2
27.66	100	2 1 1
30.17	56	1 1 2
31.45	48	0 2 0
40.65	35	1 1 3
41.08	87	4 0 1
41.26	30	3 1 2